For Pa2S4I, a GGA-PBE-relaxed structure gives the simulated X-ray powder pattern in this record (Cu Kα).

Structural model:
```
data_Pa2S4I
_space_group_name_H-M_alt 'I m a 2'
_space_group_IT_number 46
_space_group_name_Hall 'I 2 -2a'
_cell_length_a 8.1198
_cell_length_b 13.4255
_cell_length_c 6.9166
_cell_angle_alpha 90.00
_cell_angle_beta 90.00
_cell_angle_gamma 90.00
loop_
_atom_site_label
_atom_site_type_symbol
_atom_site_fract_x
_atom_site_fract_y
_atom_site_fract_z
Pa1 Pa 0.0000 0.0000 0.0000
Pa2 Pa 0.2500 0.1957 0.5880
S1 S 0.0302 0.1968 0.8720
S2 S 0.2500 0.0004 0.7342
S3 S 0.2500 0.1063 0.2281
I1 I 0.2500 0.6323 0.7354
```

Most intense lines, 2θ from 10° to 90°, in order of rising 2θ:
12.7°, I = 68; 14.4°, I = 78; 21.4°, I = 81; 23.7°, I = 79; 25.6°, I = 59; 26.3°, I = 100; 28.8°, I = 48; 34.1°, I = 54; 36.7°, I = 71; 42.4°, I = 83

***

For Ca3ErBi2As, a GGA-PBE-relaxed structure gives the simulated X-ray powder pattern in this record (Cu Kα).

Structural model:
```
data_Ca3ErBi2As
_space_group_name_H-M_alt 'I m m m'
_space_group_IT_number 71
_space_group_name_Hall '-I 2 2'
_cell_length_a 5.3155
_cell_length_b 5.3691
_cell_length_c 16.5860
_cell_angle_alpha 90.00
_cell_angle_beta 90.00
_cell_angle_gamma 90.00
loop_
_atom_site_label
_atom_site_type_symbol
_atom_site_fract_x
_atom_site_fract_y
_atom_site_fract_z
Ca1 Ca 0.0000 0.0000 0.0000
Ca2 Ca 0.0000 0.5000 0.3247
Er1 Er 0.0000 0.0000 0.5000
Bi1 Bi 0.0000 0.5000 0.1324
As1 As 0.0000 0.5000 0.5000
```

Most intense lines, 2θ from 10° to 90°, in order of rising 2θ:
10.7°, I = 41; 17.4°, I = 53; 23.2°, I = 69; 23.6°, I = 46; 31.8°, I = 46; 32.1°, I = 100; 33.4°, I = 44; 33.7°, I = 43; 41.1°, I = 33; 48.2°, I = 31

***

For Dy3Tl3GeO8, a GGA-PBE-relaxed structure gives the simulated X-ray powder pattern in this record (Cu Kα).

Structural model:
```
data_Dy3Tl3GeO8
_space_group_name_H-M_alt 'R -3 m'
_space_group_IT_number 166
_space_group_name_Hall '-R 3 2"'
_cell_length_a 6.7603
_cell_length_b 6.7603
_cell_length_c 19.6950
_cell_angle_alpha 90.00
_cell_angle_beta 90.00
_cell_angle_gamma 120.00
loop_
_atom_site_label
_atom_site_type_symbol
_atom_site_fract_x
_atom_site_fract_y
_atom_site_fract_z
Dy1 Dy 0.0000 0.5000 0.0000
Tl1 Tl 0.0000 0.5000 0.5000
Ge1 Ge 0.0000 0.0000 0.0000
O1 O 0.0000 0.0000 0.2780
O2 O 0.0407 0.5204 0.7199
```

Most intense lines, 2θ from 10° to 90°, in order of rising 2θ:
17.6°, I = 28; 27.2°, I = 52; 31.9°, I = 92; 35.7°, I = 100; 48.3°, I = 37; 54.3°, I = 30; 56.3°, I = 24; 61.7°, I = 33; 66.7°, I = 16; 81.8°, I = 15

***

For CeNdZnNi, a GGA-PBE-relaxed structure gives the simulated X-ray powder pattern in this record (Cu Kα).

Structural model:
```
data_CeNdZnNi
_space_group_name_H-M_alt 'F -4 3 m'
_space_group_IT_number 216
_space_group_name_Hall 'F -4 2 3'
_cell_length_a 7.1333
_cell_length_b 7.1333
_cell_length_c 7.1333
_cell_angle_alpha 90.00
_cell_angle_beta 90.00
_cell_angle_gamma 90.00
loop_
_atom_site_label
_atom_site_type_symbol
_atom_site_fract_x
_atom_site_fract_y
_atom_site_fract_z
Ce1 Ce 0.0000 0.0000 0.0000
Nd1 Nd 0.0000 0.0000 0.5000
Zn1 Zn 0.2500 0.2500 0.2500
Ni1 Ni 0.2500 0.2500 0.7500
```

Most intense lines, 2θ from 10° to 90°, in order of rising 2θ:
25.0°, I = 15; 35.6°, I = 100; 44.0°, I = 5; 51.2°, I = 17; 57.8°, I = 6; 63.9°, I = 35; 75.4°, I = 11; 80.8°, I = 3; 86.2°, I = 15

***

For Ta2SbRh, a GGA-PBE-relaxed structure gives the simulated X-ray powder pattern in this record (Cu Kα).

Structural model:
```
data_Ta2SbRh
_space_group_name_H-M_alt 'C 1 m 1'
_space_group_IT_number 8
_space_group_name_Hall 'C -2y'
_cell_length_a 9.8979
_cell_length_b 3.5737
_cell_length_c 4.5307
_cell_angle_alpha 90.00
_cell_angle_beta 117.17
_cell_angle_gamma 90.00
loop_
_atom_site_label
_atom_site_type_symbol
_atom_site_fract_x
_atom_site_fract_y
_atom_site_fract_z
Ta1 Ta 0.0000 0.0000 0.0000
Ta2 Ta 0.2401 0.0000 0.7414
Sb1 Sb 0.4754 0.0000 0.4754
Rh1 Rh 0.2430 0.5000 0.2455
```

Most intense lines, 2θ from 10° to 90°, in order of rising 2θ:
38.0°, I = 100; 39.8°, I = 23; 41.0°, I = 20; 51.1°, I = 11; 58.5°, I = 15; 66.7°, I = 10; 71.1°, I = 16; 72.7°, I = 14; 81.3°, I = 11; 87.5°, I = 9

***

For InSnF, a GGA-PBE-relaxed structure gives the simulated X-ray powder pattern in this record (Cu Kα).

Structural model:
```
data_InSnF
_space_group_name_H-M_alt 'I 4 m m'
_space_group_IT_number 107
_space_group_name_Hall 'I 4 -2'
_cell_length_a 4.3695
_cell_length_b 4.3695
_cell_length_c 9.1057
_cell_angle_alpha 90.00
_cell_angle_beta 90.00
_cell_angle_gamma 90.00
loop_
_atom_site_label
_atom_site_type_symbol
_atom_site_fract_x
_atom_site_fract_y
_atom_site_fract_z
In1 In 0.0000 0.0000 0.0000
Sn1 Sn 0.0000 0.0000 0.5144
F1 F 0.0000 0.0000 0.7486
```

Most intense lines, 2θ from 10° to 90°, in order of rising 2θ:
19.5°, I = 91; 28.9°, I = 100; 35.1°, I = 85; 39.6°, I = 21; 41.3°, I = 38; 46.1°, I = 40; 49.8°, I = 42; 58.6°, I = 26; 71.3°, I = 23; 81.5°, I = 20

***

For Ba3Tl7Ag2, a GGA-PBE-relaxed structure gives the simulated X-ray powder pattern in this record (Cu Kα).

Structural model:
```
data_Ba3Tl7Ag2
_space_group_name_H-M_alt 'R -3 m'
_space_group_IT_number 166
_space_group_name_Hall '-R 3 2"'
_cell_length_a 6.5202
_cell_length_b 6.5202
_cell_length_c 30.9556
_cell_angle_alpha 90.00
_cell_angle_beta 90.00
_cell_angle_gamma 120.00
loop_
_atom_site_label
_atom_site_type_symbol
_atom_site_fract_x
_atom_site_fract_y
_atom_site_fract_z
Ba1 Ba 0.0000 0.0000 0.0000
Ba2 Ba 0.0000 0.0000 0.1398
Tl1 Tl 0.0000 0.0000 0.5000
Tl2 Tl 0.0054 0.5027 0.9222
Ag1 Ag 0.0000 0.0000 0.3354
```

Most intense lines, 2θ from 10° to 90°, in order of rising 2θ:
16.0°, I = 29; 28.0°, I = 34; 31.8°, I = 48; 32.2°, I = 31; 32.5°, I = 100; 34.8°, I = 28; 34.9°, I = 48; 37.8°, I = 33; 56.5°, I = 36; 68.1°, I = 31

***

For Tl5In2Se6, a GGA-PBE-relaxed structure gives the simulated X-ray powder pattern in this record (Cu Kα).

Structural model:
```
data_Tl5In2Se6
_space_group_name_H-M_alt 'C 1 2/c 1'
_space_group_IT_number 15
_space_group_name_Hall '-C 2yc'
_cell_length_a 13.7516
_cell_length_b 8.0369
_cell_length_c 16.4340
_cell_angle_alpha 90.00
_cell_angle_beta 99.23
_cell_angle_gamma 90.00
loop_
_atom_site_label
_atom_site_type_symbol
_atom_site_fract_x
_atom_site_fract_y
_atom_site_fract_z
Tl1 Tl 0.0000 0.1000 0.2500
Tl2 Tl 0.0191 0.2215 0.5652
Tl3 Tl 0.1539 0.4585 0.2976
In1 In 0.2146 0.3244 0.0910
Se1 Se 0.0338 0.3921 0.1101
Se2 Se 0.1632 0.1715 0.7700
Se3 Se 0.2082 0.0190 0.0249
```

Most intense lines, 2θ from 10° to 90°, in order of rising 2θ:
23.7°, I = 100; 26.0°, I = 68; 26.4°, I = 60; 26.5°, I = 51; 26.8°, I = 69; 27.2°, I = 64; 29.9°, I = 66; 36.6°, I = 59; 38.5°, I = 54; 39.8°, I = 81

***

For Pr3AlGa2O9, a GGA-PBE-relaxed structure gives the simulated X-ray powder pattern in this record (Cu Kα).

Structural model:
```
data_Pr3AlGa2O9
_space_group_name_H-M_alt 'P -3 m 1'
_space_group_IT_number 164
_space_group_name_Hall '-P 3 2"'
_cell_length_a 5.4569
_cell_length_b 5.4569
_cell_length_c 6.6848
_cell_angle_alpha 90.00
_cell_angle_beta 90.00
_cell_angle_gamma 120.00
loop_
_atom_site_label
_atom_site_type_symbol
_atom_site_fract_x
_atom_site_fract_y
_atom_site_fract_z
Pr1 Pr 0.0000 0.0000 0.0000
Pr2 Pr 0.3333 0.6667 0.6680
Al1 Al 0.0000 0.0000 0.5000
Ga1 Ga 0.3333 0.6667 0.1718
O1 O 0.0000 0.5000 0.0000
O2 O 0.1632 0.3265 0.3376
```

Most intense lines, 2θ from 10° to 90°, in order of rising 2θ:
23.0°, I = 16; 32.8°, I = 100; 40.5°, I = 20; 47.1°, I = 32; 53.1°, I = 8; 58.6°, I = 39; 68.8°, I = 19; 78.4°, I = 17; 83.0°, I = 6; 87.6°, I = 7